# 1
Starting from a crystal structure in Alexandria, relaxed with GGA-PBE, the X-ray powder pattern of Tb3Pr7Sm was calculated for Cu Kα.
Intensities are scaled so that the largest is 100.

Structure:
a b c (Å): 6.9794 10.2019 11.9350
angles (deg): 100.11 101.21 107.11
Positions (direct):
1 Tb 0.0000 0.0000 0.0000
2 Tb 0.1150 0.6637 0.9854
3 Tb 0.3541 0.0577 0.8140
4 Tb 0.4995 0.5002 0.4999
5 Tb 0.6143 0.1638 0.4855
6 Tb 0.8544 0.5576 0.3140
7 Pr 0.0275 0.4715 0.5814
8 Pr 0.1759 0.1811 0.5756
9 Pr 0.1863 0.8965 0.2654
10 Pr 0.2424 0.3596 0.9075
11 Pr 0.2933 0.8233 0.5345
12 Pr 0.4405 0.2543 0.2185
13 Pr 0.4727 0.7196 0.7989
14 Pr 0.5280 0.9713 0.0813
15 Pr 0.6763 0.6807 0.0751
16 Pr 0.6860 0.3969 0.7655
17 Pr 0.7424 0.8597 0.4072
18 Pr 0.7935 0.3231 0.0344
19 Pr 0.9401 0.7545 0.7185
20 Pr 0.9729 0.2193 0.2991
21 Sm 0.3012 0.5508 0.2297
22 Sm 0.8009 0.0512 0.7300

Largest 10 diffraction maxima, sorted by position, 10 to 90 degrees two-theta:
29.50°, intensity 64; 30.39°, intensity 77; 30.66°, intensity 94; 30.83°, intensity 100; 31.32°, intensity 96; 31.49°, intensity 84; 32.17°, intensity 27; 33.27°, intensity 29; 45.49°, intensity 24; 62.27°, intensity 24

# 2
Starting from a crystal structure in Alexandria, relaxed with GGA-PBE, the X-ray powder pattern of Tb7PrSm2 was calculated for Cu Kα.
Intensities are scaled so that the largest is 100.

Structure:
a b c (Å): 9.5379 9.5379 7.0748
angles (deg): 111.69 111.69 33.54
Positions (direct):
1 Tb 0.0000 0.0000 0.0000
2 Tb 0.2004 0.2004 0.7004
3 Tb 0.3920 0.3920 0.1405
4 Tb 0.3918 0.3918 0.6431
5 Tb 0.6082 0.6082 0.3569
6 Tb 0.6080 0.6080 0.8595
7 Tb 0.7996 0.7996 0.2996
8 Pr 0.0000 0.0000 0.5000
9 Sm 0.1987 0.1987 0.1986
10 Sm 0.8013 0.8013 0.8014

Largest 10 diffraction maxima, sorted by position, 10 to 90 degrees two-theta:
30.51°, intensity 87; 31.12°, intensity 100; 32.54°, intensity 46; 33.07°, intensity 41; 34.10°, intensity 16; 47.07°, intensity 31; 56.79°, intensity 15; 57.17°, intensity 18; 58.22°, intensity 18; 61.57°, intensity 29

# 3
Starting from a crystal structure in Alexandria, relaxed with GGA-PBE, the X-ray powder pattern of Tb6PrSm6 was calculated for Cu Kα.
Intensities are scaled so that the largest is 100.

Structure:
a b c (Å): 6.6143 11.3022 6.6161
angles (deg): 90.00 115.39 90.00
Positions (direct):
1 Tb 0.0000 0.2001 0.0000
2 Tb 0.0000 0.2742 0.5000
3 Tb 0.0000 0.7258 0.5000
4 Tb 0.0000 0.7999 0.0000
5 Tb 0.5000 0.2734 0.0000
6 Tb 0.5000 0.7266 0.0000
7 Pr 0.5000 0.5000 0.5000
8 Sm 0.1451 0.5000 0.8583
9 Sm 0.2307 0.0000 0.7688
10 Sm 0.5000 0.1635 0.5000
11 Sm 0.5000 0.8365 0.5000
12 Sm 0.7693 0.0000 0.2312
13 Sm 0.8549 0.5000 0.1417

Largest 10 diffraction maxima, sorted by position, 10 to 90 degrees two-theta:
28.57°, intensity 76; 29.86°, intensity 93; 31.41°, intensity 34; 31.67°, intensity 29; 32.01°, intensity 38; 33.94°, intensity 100; 34.80°, intensity 30; 35.84°, intensity 22; 51.71°, intensity 21; 58.65°, intensity 22

# 4
Starting from a crystal structure in Alexandria, relaxed with GGA-PBE, the X-ray powder pattern of TbPr2Sm6 was calculated for Cu Kα.
Intensities are scaled so that the largest is 100.

Structure:
a b c (Å): 10.3381 10.3381 6.1397
angles (deg): 95.61 95.61 69.71
Positions (direct):
1 Tb 0.1474 0.8526 0.7500
2 Tb 0.8526 0.1474 0.2500
3 Pr 0.1817 0.4894 0.9169
4 Pr 0.4894 0.1817 0.4169
5 Pr 0.5106 0.8183 0.5831
6 Pr 0.8183 0.5106 0.0831
7 Sm 0.0060 0.7873 0.2150
8 Sm 0.1196 0.3400 0.3784
9 Sm 0.2127 0.9940 0.2850
10 Sm 0.3268 0.5493 0.4564
11 Sm 0.3400 0.1196 0.8784
12 Sm 0.4507 0.6732 0.0436
13 Sm 0.5493 0.3268 0.9564
14 Sm 0.6600 0.8804 0.1216
15 Sm 0.6732 0.4507 0.5436
16 Sm 0.7873 0.0060 0.7150
17 Sm 0.8804 0.6600 0.6216
18 Sm 0.9940 0.2127 0.7850

Largest 10 diffraction maxima, sorted by position, 10 to 90 degrees two-theta:
29.71°, intensity 61; 30.13°, intensity 60; 30.25°, intensity 47; 31.14°, intensity 100; 36.82°, intensity 33; 37.18°, intensity 28; 49.29°, intensity 14; 50.13°, intensity 13; 54.28°, intensity 21; 54.77°, intensity 25

# 5
Starting from a crystal structure in Alexandria, relaxed with GGA-PBE, the X-ray powder pattern of Tb8PrSm5 was calculated for Cu Kα.
Intensities are scaled so that the largest is 100.

Structure:
a b c (Å): 8.8283 8.8283 15.0088
angles (deg): 90.53 90.53 23.30
Positions (direct):
1 Tb 0.0000 0.0000 0.0000
2 Tb 0.0417 0.0417 0.2197
3 Tb 0.2494 0.2494 0.4933
4 Tb 0.2963 0.2963 0.7064
5 Tb 0.3562 0.3562 0.1243
6 Tb 0.6273 0.6273 0.6459
7 Tb 0.6690 0.6690 0.0655
8 Tb 0.9360 0.9360 0.5725
9 Pr 0.5760 0.5760 0.4269
10 Sm 0.1482 0.1482 0.8559
11 Sm 0.4013 0.4013 0.3560
12 Sm 0.4749 0.4749 0.7957
13 Sm 0.7333 0.7333 0.2836
14 Sm 0.8222 0.8222 0.9099

Largest 10 diffraction maxima, sorted by position, 10 to 90 degrees two-theta:
30.09°, intensity 70; 31.26°, intensity 80; 31.46°, intensity 100; 31.56°, intensity 97; 31.72°, intensity 93; 31.78°, intensity 83; 46.42°, intensity 33; 56.50°, intensity 33; 61.42°, intensity 58; 61.55°, intensity 30

# 6
Starting from a crystal structure in Alexandria, relaxed with GGA-PBE, the X-ray powder pattern of Tb8PrSm2 was calculated for Cu Kα.
Intensities are scaled so that the largest is 100.

Structure:
a b c (Å): 9.4235 9.4235 9.4235
angles (deg): 145.68 128.50 63.36
Positions (direct):
1 Tb 0.1549 0.3611 0.7938
2 Tb 0.1617 0.1617 0.0000
3 Tb 0.2951 0.0000 0.2951
4 Tb 0.4327 0.6389 0.7938
5 Tb 0.5673 0.3611 0.2062
6 Tb 0.7049 0.0000 0.7049
7 Tb 0.8383 0.8383 0.0000
8 Tb 0.8451 0.6389 0.2062
9 Pr 0.0000 0.5000 0.5000
10 Sm 0.3001 0.8001 0.5000
11 Sm 0.6999 0.1999 0.5000

Largest 10 diffraction maxima, sorted by position, 10 to 90 degrees two-theta:
29.55°, intensity 27; 31.89°, intensity 100; 32.20°, intensity 50; 33.30°, intensity 12; 33.52°, intensity 15; 47.16°, intensity 11; 55.77°, intensity 14; 57.21°, intensity 19; 62.60°, intensity 12; 63.62°, intensity 12